Calculated powder diffractogram
Compound: B2MoPtO8
Radiation: copper Kα
Structure: the GGA+U geometry in Alexandria
Intensities are scaled so that the largest is 100.

Cell and atoms:
Unit cell a=4.874 b=4.874 c=6.182 alpha=90.00 beta=90.00 gamma=120.00
Positions (direct):
B (0.333, 0.667, 0.210)
B (0.667, 0.333, 0.790)
Mo (0.000, 0.000, 0.000)
Pt (0.000, 0.000, 0.500)
O (0.165, 0.330, 0.267)
O (0.165, 0.835, 0.267)
O (0.330, 0.165, 0.733)
O (0.333, 0.667, 0.977)
O (0.667, 0.333, 0.023)
O (0.670, 0.835, 0.267)
O (0.835, 0.165, 0.733)
O (0.835, 0.670, 0.733)

Main lines, by angle (5 to 70 degrees two-theta):
| 2theta | Rel. int. | (hkl) |
| --- | --- | --- |
| 21.05 | 100 | 1 0 0 |
| 25.55 | 23 | 1 0 1 |
| 28.89 | 8 | 0 0 2 |
| 36.02 | 45 | 1 0 2 |
| 36.89 | 28 | 1 1 0 |
| 42.85 | 10 | 2 0 0 |
| 47.51 | 33 | 1 1 2 |
| 52.50 | 23 | 2 0 2 |
| 57.80 | 13 | 2 1 0 |
| 59.86 | 8 | 0 0 4 |
| 64.18 | 10 | 1 0 4 |
| 65.89 | 17 | 2 1 2 |